(1)
# Na3LiCl4
Simulated powder diffraction line list, Cu Ka. Input: a structure optimized by DFT (PBE).
Peak positions follow from Bragg's law for the DFT cell and can differ from measured ones.

Structural model:
Cell: 7.887 11.128 3.930 Å, 90.00 90.00 90.00°
Space group Cmm2 (No. 35)
One atom of each set of equivalent atoms:
Na: 0.000 0.000 0.000 (multiplicity 2)
Na: 0.250 0.250 0.500 (multiplicity 4)
Li: 0.000 0.500 0.001 (multiplicity 2)
Cl: 0.000 0.258 0.001 (multiplicity 4)
Cl: 0.236 0.500 0.500 (multiplicity 4)

The 8 most intense peaks (10 to 90 degrees two-theta), low angle first:
27.76 deg, I = 18, (0 2 1)
32.16 deg, I = 100, (2 0 1)
46.11 deg, I = 53, (2 4 1)
46.19 deg, I = 11, (0 0 2)
57.27 deg, I = 10, (4 4 0)
57.41 deg, I = 10, (0 4 2)
76.55 deg, I = 16, (4 4 2)
85.55 deg, I = 9, (2 4 3)

(2)
# Np2CuSb
Simulated powder diffraction line list, Cu Ka. Input: a structure optimized by DFT (PBE).
Peak positions follow from Bragg's law for the DFT cell and can differ from measured ones.

Structural model:
Cell: 3.710 3.710 5.197 Å, 90.00 90.00 90.00°
Space group P4/mmm (No. 123)
One atom of each set of equivalent atoms:
Np: 0.000 0.500 0.000 (multiplicity 2)
Cu: 0.000 0.000 0.500 (multiplicity 1)
Sb: 0.500 0.500 0.500 (multiplicity 1)

The 8 most intense peaks (10 to 90 degrees two-theta), low angle first:
17.06 deg, I = 31, (0 0 1)
34.18 deg, I = 12, (1 1 0)
34.52 deg, I = 33, (0 0 2)
38.44 deg, I = 100, (1 1 1)
49.11 deg, I = 25, (2 0 0)
61.41 deg, I = 26, (2 0 2)
64.46 deg, I = 22, (1 1 3)
84.69 deg, I = 21, (3 1 1)

(3)
# Np2IO8
Simulated powder diffraction line list, Cu Ka. Input: a structure optimized by DFT (PBE).
Peak positions follow from Bragg's law for the DFT cell and can differ from measured ones.

Structural model:
Cell: 5.520 5.806 5.886 Å, 95.53 106.25 103.11°
Space group P-1 (No. 2)
One atom of each set of equivalent atoms:
Np: 0.209 0.290 0.468 (multiplicity 2)
I: 0.500 0.000 0.000 (multiplicity 1)
O: 0.133 0.462 0.708 (multiplicity 2)
O: 0.202 0.970 0.672 (multiplicity 2)
O: 0.263 0.111 0.200 (multiplicity 2)
O: 0.407 0.616 0.354 (multiplicity 2)

The 8 most intense peaks (10 to 90 degrees two-theta), low angle first:
15.92 deg, I = 97, (0 0 1)
20.22 deg, I = 37, (1 -1 0)
20.53 deg, I = 50, (0 1 -1)
24.09 deg, I = 91, (-1 1 1)
26.60 deg, I = 100, (1 1 0)
27.49 deg, I = 46, (1 -1 1)
33.42 deg, I = 38, (0 2 -1)
35.06 deg, I = 39, (1 1 -2)

(4)
# Sc2CuSeS3
Simulated powder diffraction line list, Cu Ka. Input: a structure optimized by DFT (PBE).
Peak positions follow from Bragg's law for the DFT cell and can differ from measured ones.

Structural model:
Cell: 7.4369 7.4369 18.3643 Å, 90.00 90.00 120.00°
Space group R-3m (No. 166, hexagonal axes)
One atom of each set of equivalent atoms:
Sc: 0.0000 0.0000 0.0000 (multiplicity 3)
Sc: 0.0000 0.5000 0.5000 (multiplicity 9)
Cu: 0.0000 0.0000 0.3874 (multiplicity 6)
Se: 0.0000 0.0000 0.2543 (multiplicity 6)
S: 0.0132 0.5066 0.7524 (multiplicity 18)

The 8 most intense peaks (10 to 90 degrees two-theta), low angle first:
23.93 deg, I = 76, (1 1 0)
27.97 deg, I = 32, (0 1 5)
28.10 deg, I = 100, (0 2 1)
34.01 deg, I = 94, (0 2 4)
44.69 deg, I = 40, (1 2 5)
48.71 deg, I = 81, (2 0 8)
48.99 deg, I = 86, (2 2 0)
71.58 deg, I = 24, (0 4 8)

(5)
# Pr5ScHg6
Simulated powder diffraction line list, Cu Ka. Input: a structure optimized by DFT (PBE).
Peak positions follow from Bragg's law for the DFT cell and can differ from measured ones.

Structural model:
Cell: 5.354 7.692 16.119 Å, 90.00 90.00 90.00°
Space group Immm (No. 71)
One atom of each set of equivalent atoms:
Pr: 0.000 0.000 0.000 (multiplicity 2)
Pr: 0.000 0.000 0.326 (multiplicity 4)
Pr: 0.000 0.500 0.337 (multiplicity 4)
Sc: 0.000 0.500 0.000 (multiplicity 2)
Hg: 0.000 0.221 0.500 (multiplicity 4)
Hg: 0.000 0.267 0.158 (multiplicity 8)

The 8 most intense peaks (10 to 90 degrees two-theta), low angle first:
33.18 deg, I = 100, (1 2 3)
33.35 deg, I = 25, (0 0 6)
33.48 deg, I = 26, (2 0 0)
47.98 deg, I = 18, (2 0 6)
59.12 deg, I = 17, (2 4 0)
59.50 deg, I = 17, (1 2 9)
59.65 deg, I = 19, (3 2 3)
79.88 deg, I = 11, (3 2 9)

(6)
# Tl4Cd3Hg5
Simulated powder diffraction line list, Cu Ka. Input: a structure optimized by DFT (PBE).
Peak positions follow from Bragg's law for the DFT cell and can differ from measured ones.

Structural model:
Cell: 6.022 6.325 8.954 Å, 80.36 84.78 82.93°
Space group P-1 (No. 2)
One atom of each set of equivalent atoms:
Tl: 0.221 0.384 0.140 (multiplicity 2)
Tl: 0.249 0.928 0.857 (multiplicity 2)
Cd: 0.000 0.000 0.500 (multiplicity 1)
Cd: 0.294 0.434 0.774 (multiplicity 2)
Hg: 0.000 0.500 0.500 (multiplicity 1)
Hg: 0.258 0.856 0.221 (multiplicity 2)
Hg: 0.488 0.244 0.470 (multiplicity 2)

The 8 most intense peaks (10 to 90 degrees two-theta), low angle first:
30.46 deg, I = 49, (0 0 3)
31.01 deg, I = 100, (1 2 0)
32.40 deg, I = 19, (2 0 -1)
34.52 deg, I = 37, (-1 2 1)
35.13 deg, I = 18, (2 0 2)
37.65 deg, I = 25, (2 0 -2)
39.64 deg, I = 25, (1 2 3)
41.73 deg, I = 19, (1 -2 2)

(7)
# EuPuIr2
Simulated powder diffraction line list, Cu Ka. Input: a structure optimized by DFT (PBE).
Peak positions follow from Bragg's law for the DFT cell and can differ from measured ones.

Structural model:
Cell: 4.894 4.894 3.460 Å, 90.00 90.00 90.00°
Space group P4/mmm (No. 123)
One atom of each set of equivalent atoms:
Eu: 0.000 0.000 0.000 (multiplicity 1)
Pu: 0.500 0.500 0.000 (multiplicity 1)
Ir: 0.000 0.500 0.500 (multiplicity 2)

The 8 most intense peaks (10 to 90 degrees two-theta), low angle first:
18.13 deg, I = 2, (1 0 0)
31.67 deg, I = 1, (1 0 1)
36.73 deg, I = 100, (2 0 0)
49.26 deg, I = 1, (2 1 1)
52.92 deg, I = 18, (2 2 0)
66.14 deg, I = 37, (3 1 1)
78.11 deg, I = 12, (4 0 0)
89.57 deg, I = 17, (4 2 0)

(8)
# SmErAsP
Simulated powder diffraction line list, Cu Ka. Input: a structure optimized by DFT (PBE).
Peak positions follow from Bragg's law for the DFT cell and can differ from measured ones.

Structural model:
Cell: 4.101 4.101 5.783 Å, 90.00 90.00 90.00°
Space group P4/mmm (No. 123)
One atom of each set of equivalent atoms:
Sm: 0.000 0.000 0.000 (multiplicity 1)
Er: 0.500 0.500 0.500 (multiplicity 1)
As: 0.500 0.500 0.000 (multiplicity 1)
P: 0.000 0.000 0.500 (multiplicity 1)

The 8 most intense peaks (10 to 90 degrees two-theta), low angle first:
26.65 deg, I = 45, (1 0 1)
30.86 deg, I = 100, (1 1 0)
44.21 deg, I = 74, (2 0 0)
52.33 deg, I = 15, (2 1 1)
54.89 deg, I = 26, (2 0 2)
72.97 deg, I = 22, (3 1 0)
73.14 deg, I = 11, (1 1 4)
81.30 deg, I = 17, (3 1 2)

(9)
# HoTm3Pb2
Simulated powder diffraction line list, Cu Ka. Input: a structure optimized by DFT (PBE).
Peak positions follow from Bragg's law for the DFT cell and can differ from measured ones.

Structural model:
Cell: 4.526 4.526 8.427 Å, 90.00 90.00 90.00°
Space group P-4m2 (No. 115)
One atom of each set of equivalent atoms:
Ho: 0.000 0.000 0.000 (multiplicity 1)
Tm: 0.000 0.500 0.339 (multiplicity 2)
Tm: 0.500 0.500 0.000 (multiplicity 1)
Pb: 0.000 0.500 0.713 (multiplicity 2)

The 8 most intense peaks (10 to 90 degrees two-theta), low angle first:
27.88 deg, I = 22, (1 1 0)
29.86 deg, I = 78, (1 1 1)
31.86 deg, I = 39, (0 0 3)
35.21 deg, I = 100, (1 1 2)
39.83 deg, I = 58, (2 0 0)
51.89 deg, I = 44, (2 0 3)
57.60 deg, I = 20, (2 2 0)
69.34 deg, I = 29, (3 1 2)

(10)
# Zr2PaTl3Se6
Simulated powder diffraction line list, Cu Ka. Input: a structure optimized by DFT (PBE).
Peak positions follow from Bragg's law for the DFT cell and can differ from measured ones.

Structural model:
Cell: 6.655 11.540 8.501 Å, 90.00 90.09 90.00°
Space group C2/m (No. 12)
One atom of each set of equivalent atoms:
Zr: 0.000 0.167 0.000 (multiplicity 4)
Pa: 0.000 0.500 0.000 (multiplicity 2)
Tl: 0.000 0.166 0.500 (multiplicity 4)
Tl: 0.000 0.500 0.500 (multiplicity 2)
Se: 0.160 0.000 0.197 (multiplicity 4)
Se: 0.170 0.330 0.197 (multiplicity 8)

The 8 most intense peaks (10 to 90 degrees two-theta), low angle first:
20.90 deg, I = 15, (0 0 2)
26.78 deg, I = 37, (1 3 0)
28.80 deg, I = 23, (2 0 1)
34.21 deg, I = 100, (1 3 2)
47.29 deg, I = 30, (3 3 0)
50.98 deg, I = 23, (2 0 4)
59.63 deg, I = 16, (2 6 -2)
79.41 deg, I = 16, (1 9 2)

(11)
# B7C5
Simulated powder diffraction line list, Cu Ka. Input: a structure optimized by DFT (PBE).
Peak positions follow from Bragg's law for the DFT cell and can differ from measured ones.

Structural model:
Cell: 2.397 2.555 13.378 Å, 90.00 90.00 90.00°
Space group Pmm2 (No. 25)
One atom of each set of equivalent atoms:
B: 0.000 0.000 0.000 (multiplicity 1)
B: 0.000 0.000 0.322 (multiplicity 1)
B: 0.000 0.000 0.676 (multiplicity 1)
B: 0.000 0.500 0.419 (multiplicity 1)
B: 0.500 0.000 0.221 (multiplicity 1)
B: 0.500 0.000 0.896 (multiplicity 1)
B: 0.500 0.500 0.522 (multiplicity 1)
C: 0.000 0.500 0.078 (multiplicity 1)
C: 0.000 0.500 0.757 (multiplicity 1)
C: 0.500 0.000 0.592 (multiplicity 1)
C: 0.500 0.500 0.142 (multiplicity 1)
C: 0.500 0.500 0.820 (multiplicity 1)

The 8 most intense peaks (10 to 90 degrees two-theta), low angle first:
13.24 deg, I = 31, (0 0 2)
19.91 deg, I = 14, (0 0 3)
40.71 deg, I = 100, (0 1 3)
42.83 deg, I = 83, (1 0 3)
68.17 deg, I = 46, (1 1 6)
74.25 deg, I = 12, (0 2 0)
80.07 deg, I = 10, (2 0 0)
89.73 deg, I = 16, (1 2 3)

(12)
# PmEr3Te2
Simulated powder diffraction line list, Cu Ka. Input: a structure optimized by DFT (PBE).
Peak positions follow from Bragg's law for the DFT cell and can differ from measured ones.

Structural model:
Cell: 16.392 4.116 11.311 Å, 90.00 109.38 90.00°
Space group C2/m (No. 12)
One atom of each set of equivalent atoms:
Pm: 0.119 0.000 0.044 (multiplicity 4)
Er: 0.060 0.000 0.405 (multiplicity 4)
Er: 0.124 0.500 0.664 (multiplicity 4)
Er: 0.216 0.500 0.378 (multiplicity 4)
Te: 0.016 0.500 0.172 (multiplicity 4)
Te: 0.229 0.000 0.855 (multiplicity 4)

The 8 most intense peaks (10 to 90 degrees two-theta), low angle first:
29.13 deg, I = 25, (1 1 2)
29.31 deg, I = 15, (3 1 -2)
30.65 deg, I = 100, (3 1 1)
33.21 deg, I = 30, (6 0 -2)
33.47 deg, I = 69, (3 1 -3)
33.60 deg, I = 16, (0 0 4)
44.00 deg, I = 28, (0 2 0)
55.99 deg, I = 14, (9 1 -1)